Simulated powder diffractogram of BaNaCeNbO6 for Cu Kα (λ = 1.5418 Å), from a DFT-relaxed cell (GGA-PBE, the Materials Project).

Structure:
```
data_BaNaCeNbO6
_cell_length_a 8.475
_cell_length_b 8.509
_cell_length_c 8.522
_cell_angle_alpha 90.00
_cell_angle_beta 90.00
_cell_angle_gamma 90.00
_symmetry_space_group_name_H-M 'P n n n'
_symmetry_Int_Tables_number 48
loop_
_symmetry_equiv_pos_as_xyz
'x,y,z'
'-x,-y,-z'
'-x+1/2,-y+1/2,z'
'x+1/2,y+1/2,-z'
'x,-y+1/2,-z+1/2'
'-x,y+1/2,z+1/2'
'-x+1/2,y,-z+1/2'
'x+1/2,-y,z+1/2'
loop_
_atom_site_label
_atom_site_fract_x
_atom_site_fract_y
_atom_site_fract_z
Ba1 0.250 0.250 0.250
Ba2 0.250 0.250 0.750
Na1 0.250 0.750 0.250
Na2 0.250 0.750 0.750
Ce1 0.000 0.000 0.000
Nb1 0.000 0.000 0.500
O1 0.011 0.737 0.019
O2 0.018 0.518 0.764
O3 0.237 0.022 0.485
```

Principal peaks in the range 15° ≤ 2θ ≤ 90°, sorted by position:
- (0 0 2), 2θ 20.86, rel. 8.3
- (1 1 2), 2θ 25.63, rel. 8.2
- (2 0 2), 2θ 29.72, rel. 100.0
- (0 0 4), 2θ 42.46, rel. 22.2
- (4 0 0), 2θ 42.67, rel. 11.0
- (2 4 2), 2θ 52.70, rel. 27.7
- (4 2 2), 2θ 52.83, rel. 13.6
- (4 0 4), 2θ 61.77, rel. 13.3
- (0 2 6), 2θ 69.85, rel. 8.9
- (2 6 4), 2θ 85.35, rel. 10.8